SrLiCeN2: calculated powder diffraction line list (Cu Kα), based on a DFT-relaxed cell (PBE, Alexandria).
Neutral-atom scattering factors, no anomalous dispersion.

Principal peaks in the range 2θ from 5° to 70°, in order of falling intensity:
2theta, I_rel, h k l
29.8, 100, 1 0 1
38.6, 28, 0 1 2
46.4, 27, 1 1 0
26.3, 26, 1 0 0
50.3, 23, 1 0 3
27.7, 22, 0 0 2

Crystal structure
Cell: 3.9124 3.9124 6.4408 Å, 90.00 90.00 120.00°
Space group P3m1 (No. 156)
One atom of each set of equivalent atoms:
Sr (0.0000, 0.0000, 0.0000) x1
Li (0.6667, 0.3333, 0.2874) x1
Ce (0.3333, 0.6667, 0.5623) x1
N (0.3333, 0.6667, 0.2095) x1
N (0.6667, 0.3333, 0.6739) x1